1.
Theoretical powder diffractogram of Cd4PtAu for Cu Kα, 1.54184 Å, from the PBE geometry in Alexandria.
Neutral-atom scattering factors, no anomalous dispersion.

Structure:
a = 7.3727 Å, b = 7.3727 Å, c = 7.3727 Å
α = 125.53°, β = 125.53°, γ = 80.67°
Fractional coordinates of all 12 atoms:
Cd 0.0318 0.5318 0.8298
Cd 0.2020 0.0318 0.5000
Cd 0.2980 0.7980 0.8298
Cd 0.4682 0.2980 0.5000
Cd 0.5318 0.7020 0.5000
Cd 0.7020 0.2020 0.1702
Cd 0.7980 0.9682 0.5000
Cd 0.9682 0.4682 0.1702
Pt 0.2500 0.2500 0.0000
Pt 0.7500 0.7500 0.0000
Au 0.0000 0.0000 0.0000
Au 0.5000 0.5000 0.0000

Principal peaks in the range 10° ≤ 2θ ≤ 80°, low angle first:
2θ (°)	I_rel
18.6	73
30.7	67
37.1	95
38.3	53
41.8	98
42.4	100

2.
Theoretical powder diffractogram of Cu2Sb3P3 for Cu Kα, 1.54184 Å, from the PBE geometry in Alexandria.
Neutral-atom scattering factors, no anomalous dispersion.

Structure:
a = 3.9226 Å, b = 3.9226 Å, c = 23.2891 Å
α = 90.00°, β = 90.00°, γ = 120.00°
Fractional coordinates of all 16 atoms:
Cu 0.0000 0.0000 0.1854
Cu 0.0000 0.0000 0.3146
Cu 0.0000 0.0000 0.6854
Cu 0.0000 0.0000 0.8146
Sb 0.3333 0.6667 0.0700
Sb 0.3333 0.6667 0.2500
Sb 0.3333 0.6667 0.4300
Sb 0.6667 0.3333 0.5700
Sb 0.6667 0.3333 0.7500
Sb 0.6667 0.3333 0.9300
P 0.0000 0.0000 0.0000
P 0.0000 0.0000 0.5000
P 0.3333 0.6667 0.6455
P 0.3333 0.6667 0.8545
P 0.6667 0.3333 0.1455
P 0.6667 0.3333 0.3545

Principal peaks in the range 10° ≤ 2θ ≤ 80°, low angle first:
2θ (°)	I_rel
26.5	36
32.6	100
35.1	61
46.3	60
50.8	21
57.8	19

3.
Theoretical powder diffractogram of HoErPbS for Cu Kα, 1.54184 Å, from the PBE geometry in Alexandria.
Neutral-atom scattering factors, no anomalous dispersion.

Structure:
a = 3.7599 Å, b = 3.7624 Å, c = 8.3736 Å
α = 77.12°, β = 77.10°, γ = 60.31°
Fractional coordinates of all 4 atoms:
Ho 0.0000 0.0000 0.0000
Er 0.2027 0.2006 0.3918
Pb 0.4372 0.4316 0.6969
S 0.6014 0.6005 0.1952

Principal peaks in the range 10° ≤ 2θ ≤ 80°, low angle first:
2θ (°)	I_rel
31.1	47
31.2	23
33.1	100
33.2	27
48.4	30
60.0	27

4.
Theoretical powder diffractogram of Pm3Cu2Sn3 for Cu Kα, 1.54184 Å, from the PBE geometry in Alexandria.
Neutral-atom scattering factors, no anomalous dispersion.

Structure:
a = 4.5416 Å, b = 4.7684 Å, c = 9.4324 Å
α = 75.58°, β = 76.19°, γ = 89.98°
Fractional coordinates of all 8 atoms:
Pm 0.0000 0.0000 0.0000
Pm 0.1518 0.6502 0.6985
Pm 0.8482 0.3498 0.3015
Cu 0.2478 0.2453 0.5038
Cu 0.7522 0.7547 0.4962
Sn 0.3462 0.8466 0.3058
Sn 0.5000 0.5000 0.0000
Sn 0.6538 0.1534 0.6942

Principal peaks in the range 10° ≤ 2θ ≤ 80°, low angle first:
2θ (°)	I_rel
29.0	41
30.3	33
33.9	100
34.0	99
37.7	49
39.7	42